Hf3Co: simulated powder diffractogram (Cu Kα, 1.54184 Å), based on a cell relaxed with PBE.
Lines closer than 0.1° are merged.

Largest 6 diffraction maxima, low angle first, 2θ from 10° to 80°:
d = 4.242 Å, 20.94°, I = 11.1
d = 2.449 Å, 36.69°, I = 100.0
d = 2.121 Å, 42.62°, I = 49.4
d = 1.500 Å, 61.86°, I = 32.8
d = 1.279 Å, 74.13°, I = 38.5
d = 1.225 Å, 78.03°, I = 11.2

Atomic structure:
Cell lengths 4.2423, 4.2423, 4.2423 Å; angles 90.00, 90.00, 90.00 degrees
Space group Pm-3m (No. 221)
Symmetry-distinct sites (fractional):
1 Hf 0.0000 0.0000 0.5000
2 Co 0.5000 0.5000 0.5000